This entry pairs a crystal structure of Li2P2Ir with its simulated X-ray powder pattern. Radiation: Cu Kα (λ = 1.5418 Å). Structure: a DFT-relaxed cell (GGA-PBE, Alexandria).

Crystal structure
```
data_Li2P2Ir
_chemical_formula_sum 'Li4 P4 Ir2'
_space_group_name_H-M_alt 'P 4/m b m'
_space_group_IT_number 127
_space_group_name_Hall '-P 4 2ab'
_cell_length_a 5.916
_cell_length_b 5.916
_cell_length_c 4.166
_cell_angle_alpha 90.00
_cell_angle_beta 90.00
_cell_angle_gamma 90.00
loop_
_atom_site_label
_atom_site_fract_x
_atom_site_fract_y
_atom_site_fract_z
_atom_site_occupancy
Li1 0.182 0.318 0.000 1
P1 0.130 0.630 0.500 1
Ir1 0.000 0.000 0.500 1
```

Top 12 peaks for 10° ≤ 2θ ≤ 90°, by angle:
- hkl 0 0 1, 2θ 21.3, I = 100
- hkl 2 0 0, 2θ 30.3, I = 65
- hkl 2 0 1, 2θ 37.3, I = 33
- hkl 2 2 0, 2θ 43.3, I = 11
- hkl 0 0 2, 2θ 43.4, I = 10
- hkl 3 1 0, 2θ 48.7, I = 36
- hkl 1 1 2, 2θ 48.8, I = 11
- hkl 3 1 1, 2θ 53.7, I = 29
- hkl 2 0 2, 2θ 53.8, I = 10
- hkl 3 1 2, 2θ 67.3, I = 16
- hkl 4 2 0, 2θ 71.3, I = 9
- hkl 5 1 1, 2θ 87.3, I = 14